No. 1
Simulated powder XRD pattern
Compound: Rb2CBr6Cl
Radiation: Cu Ka
Structure: a crystal structure in Alexandria, relaxed with GGA-PBE
Neutral-atom scattering factors, no anomalous dispersion.

Most intense lines, 15° ≤ 2θ ≤ 90°, low angle first:
- 2θ = 29.30°, I 100
- 2θ = 33.19°, I 46
- 2θ = 35.46°, I 20
- 2θ = 44.59°, I 6
- 2θ = 47.64°, I 14
- 2θ = 49.35°, I 27
- 2θ = 56.91°, I 22
- 2θ = 59.92°, I 11
- 2θ = 60.77°, I 12
- 2θ = 79.92°, I 7

Crystal structure
Cell: 7.402 7.402 7.402 Å, 117.90 117.90 93.68°
Positions (direct):
1 Rb 0.250 0.750 0.500
2 Rb 0.750 0.250 0.500
3 C 0.000 0.000 0.000
4 Br 0.219 0.219 0.438
5 Br 0.219 0.781 0.000
6 Br 0.229 0.229 0.000
7 Br 0.771 0.771 0.000
8 Br 0.781 0.219 0.000
9 Br 0.781 0.781 0.562
10 Cl 0.500 0.500 0.000

***

No. 2
Simulated powder XRD pattern
Compound: FeCoCBr
Radiation: Cu Ka
Structure: a crystal structure in Alexandria, relaxed with GGA-PBE
Neutral-atom scattering factors, no anomalous dispersion.

Most intense lines, 15° ≤ 2θ ≤ 90°, low angle first:
- 2θ = 29.50°, I 10
- 2θ = 33.07°, I 57
- 2θ = 36.33°, I 65
- 2θ = 44.90°, I 100
- 2θ = 56.89°, I 21
- 2θ = 59.07°, I 34
- 2θ = 71.37°, I 12
- 2θ = 77.16°, I 35
- 2θ = 86.55°, I 6
- 2θ = 88.42°, I 15

Crystal structure
Cell: 3.128 3.128 6.055 Å, 90.00 90.00 120.00°
Positions (direct):
1 Fe 0.000 0.000 0.000
2 Co 0.667 0.333 0.280
3 C 0.333 0.667 0.131
4 Br 0.000 0.000 0.604

***

No. 3
Simulated powder XRD pattern
Compound: La8Co3CBr3
Radiation: Cu Ka
Structure: a crystal structure in Alexandria, relaxed with GGA-PBE
Neutral-atom scattering factors, no anomalous dispersion.

Most intense lines, 15° ≤ 2θ ≤ 90°, low angle first:
- 2θ = 26.87°, I 31
- 2θ = 28.44°, I 74
- 2θ = 30.32°, I 100
- 2θ = 31.55°, I 20
- 2θ = 34.68°, I 24
- 2θ = 37.85°, I 25
- 2θ = 40.28°, I 30
- 2θ = 43.76°, I 44
- 2θ = 46.47°, I 20
- 2θ = 55.39°, I 22

Crystal structure
Cell: 8.295 8.295 9.046 Å, 116.96 116.96 56.21°
Positions (direct):
1 La 0.229 0.229 0.681
2 La 0.235 0.746 0.686
3 La 0.254 0.765 0.314
4 La 0.258 0.258 0.305
5 La 0.742 0.742 0.695
6 La 0.746 0.235 0.686
7 La 0.765 0.254 0.314
8 La 0.771 0.771 0.319
9 Co 0.000 0.500 0.500
10 Co 0.500 0.000 0.500
11 Co 0.500 0.500 0.500
12 C 0.000 0.000 0.500
13 Br 0.000 0.000 0.000
14 Br 0.000 0.500 0.000
15 Br 0.500 0.000 0.000